Entry 1:
Diffraction record for Tm2Al3Au5. The powder diffraction line list is computed, not measured: it uses a cell relaxed with GGA-PBE and CuKα.
Lines closer than 0.1° are merged.

Top 10 peaks for 10 to 80 degrees two-theta, in order of falling intensity:
two_theta	intensity
34.43	100
34.81	60
40.61	46
38.41	38
41.44	23
26.10	20
59.42	16
29.86	15
46.66	15
66.75	15

Atomic structure:
```
data_Tm2Al3Au5
_symmetry_space_group_name_H-M 'P 1'
_symmetry_Int_Tables_number 1
_symmetry_space_group_name_Hall 'P 1'
_cell_length_a 12.623
_cell_length_b 12.623
_cell_length_c 6.980
_cell_angle_alpha 90.00
_cell_angle_beta 90.00
_cell_angle_gamma 159.73
loop_
_atom_site_label
_atom_site_fract_x
_atom_site_fract_y
_atom_site_fract_z
Tm1 0.017 0.983 0.500
Tm2 0.323 0.677 0.509
Tm3 0.677 0.323 0.009
Tm4 0.983 0.017 0.000
Al1 0.103 0.897 0.185
Al2 0.276 0.724 0.037
Al3 0.446 0.554 0.307
Al4 0.554 0.446 0.807
Al5 0.724 0.276 0.537
Al6 0.897 0.103 0.685
Au1 0.106 0.894 0.805
Au2 0.199 0.801 0.317
Au3 0.218 0.782 0.738
Au4 0.381 0.619 0.002
Au5 0.454 0.546 0.692
Au6 0.546 0.454 0.192
Au7 0.619 0.381 0.502
Au8 0.782 0.218 0.238
Au9 0.801 0.199 0.817
Au10 0.894 0.106 0.305
```


Entry 2:
Diffraction record for NbHW. The powder diffraction line list is computed, not measured: it uses a cell relaxed with GGA-PBE and CuKα.
Lines closer than 0.1° are merged.

Top 10 peaks for 10 to 80 degrees two-theta, in order of falling intensity:
two_theta	intensity
38.26	100
38.01	26
38.16	24
68.84	18
69.27	17
54.95	17
69.03	16
20.99	13
55.48	9
39.51	4

Atomic structure:
```
data_NbHW
_symmetry_space_group_name_H-M 'P 1'
_symmetry_Int_Tables_number 1
_symmetry_space_group_name_Hall 'P 1'
_cell_length_a 4.734
_cell_length_b 9.435
_cell_length_c 3.313
_cell_angle_alpha 90.00
_cell_angle_beta 90.00
_cell_angle_gamma 90.00
loop_
_atom_site_label
_atom_site_fract_x
_atom_site_fract_y
_atom_site_fract_z
Nb1 0.250 0.128 0.000
Nb2 0.250 0.372 0.500
Nb3 0.750 0.628 0.500
Nb4 0.750 0.872 0.000
H1 0.000 0.000 0.693
H2 0.000 0.500 0.193
H3 0.500 0.000 0.693
H4 0.500 0.500 0.193
W1 0.250 0.636 0.987
W2 0.250 0.864 0.487
W3 0.750 0.136 0.487
W4 0.750 0.364 0.987
```